Simulated X-ray powder pattern
Compound: Sr3CaBe
Radiation: Cu Kα (λ = 1.5418 Å)
Structure: a GGA-PBE-relaxed structure

Top 12 peaks for 10 to 90 degrees two-theta, most intense first:
2θ = 25.29°, rel. 100.0, (1 1 1); 2θ = 29.28°, rel. 56.2, (2 0 0); 2θ = 49.56°, rel. 46.5, (3 1 1); 2θ = 41.89°, rel. 41.5, (2 2 0); 2θ = 66.85°, rel. 18.7, (3 3 1); 2θ = 68.83°, rel. 18.5, (4 2 0); 2θ = 51.93°, rel. 14.5, (2 2 2); 2θ = 82.10°, rel. 14.1, (5 1 1); 2θ = 76.51°, rel. 13.7, (4 2 2); 2θ = 14.52°, rel. 8.2, (1 0 0); 2θ = 60.73°, rel. 6.7, (4 0 0); 2θ = 32.83°, rel. 4.6, (2 1 0)

a b c (Å): 6.1000 6.1000 6.1000
angles (deg): 90.00 90.00 90.00
Atoms (fractional coordinates):
Sr: 0.0000 0.0000 0.5000
Sr: 0.0000 0.5000 0.0000
Sr: 0.5000 0.0000 0.0000
Ca: 0.5000 0.5000 0.5000
Be: 0.0000 0.0000 0.0000